(1)
# PrHoNiOs
Simulated XRD peak list, copper Kα. Input: DFT lattice parameters and positions (PBE).
Intensities are scaled so that the largest is 1000.

Most intense lines, 5° ≤ 2θ ≤ 70°, by intensity:
two_theta, I (rel.)
36.7, 1000
66.1, 356
52.9, 175
22.2, 113
43.3, 63
58.1, 28
25.7, 12

Cell and atoms:
Cell: 4.8963 4.8963 4.8963 Å, 60.00 60.00 60.00°
Fractional coordinates of all 4 atoms:
Pr (0.0000, 0.0000, 0.0000)
Ho (0.5000, 0.5000, 0.5000)
Ni (0.2500, 0.2500, 0.2500)
Os (0.7500, 0.7500, 0.7500)

=====

(2)
# Ho2Ni12P7
Simulated XRD peak list, copper Kα. Input: DFT lattice parameters and positions (PBE).
Intensities are scaled so that the largest is 1000.

Most intense lines, 5° ≤ 2θ ≤ 70°, by intensity:
two_theta, I (rel.)
39.0, 1000
49.4, 175
53.7, 166
26.7, 114
57.1, 107
30.2, 101
34.4, 93
46.4, 92
48.7, 90
41.6, 89

Cell and atoms:
Cell: 9.0345 9.0345 3.6867 Å, 90.00 90.00 120.00°
Fractional coordinates of all 21 atoms:
Ho (0.0000, 0.0000, 0.0000)
Ho (0.3333, 0.6667, 0.5000)
Ni (0.0398, 0.7674, 0.5000)
Ni (0.0976, 0.3828, 0.0000)
Ni (0.2326, 0.2723, 0.5000)
Ni (0.2852, 0.9024, 0.0000)
Ni (0.4518, 0.2399, 0.0000)
Ni (0.5143, 0.0586, 0.5000)
Ni (0.5442, 0.4857, 0.5000)
Ni (0.6172, 0.7148, 0.0000)
Ni (0.7277, 0.9602, 0.5000)
Ni (0.7601, 0.2119, 0.0000)
Ni (0.7881, 0.5482, 0.0000)
Ni (0.9414, 0.4558, 0.5000)
P (0.0719, 0.6280, 0.0000)
P (0.2590, 0.0388, 0.5000)
P (0.3720, 0.4439, 0.0000)
P (0.5561, 0.9281, 0.0000)
P (0.6667, 0.3333, 0.5000)
P (0.7798, 0.7410, 0.5000)
P (0.9612, 0.2202, 0.5000)

=====

(3)
# Ho2Ni5P3
Simulated XRD peak list, copper Kα. Input: DFT lattice parameters and positions (PBE).
Intensities are scaled so that the largest is 1000.

Most intense lines, 5° ≤ 2θ ≤ 70°, by intensity:
two_theta, I (rel.)
36.2, 1000
37.8, 474
48.4, 361
41.2, 338
38.7, 311
30.9, 288
33.5, 267
26.4, 231
38.9, 216
26.7, 205

Cell and atoms:
Cell: 11.7175 11.7175 6.6939 Å, 90.00 90.00 161.53°
Fractional coordinates of all 20 atoms:
Ho (0.0493, 0.9507, 0.5000)
Ho (0.3409, 0.6591, 0.3394)
Ho (0.6591, 0.3409, 0.8394)
Ho (0.9507, 0.0493, 0.0000)
Ni (0.0683, 0.9317, 0.9121)
Ni (0.2127, 0.7873, 0.5255)
Ni (0.2189, 0.7811, 0.1468)
Ni (0.3475, 0.6525, 0.8364)
Ni (0.4438, 0.5562, 0.6560)
Ni (0.5562, 0.4438, 0.1560)
Ni (0.6525, 0.3475, 0.3364)
Ni (0.7811, 0.2189, 0.6468)
Ni (0.7873, 0.2127, 0.0255)
Ni (0.9317, 0.0683, 0.4121)
P (0.1224, 0.8776, 0.1719)
P (0.2525, 0.7475, 0.8341)
P (0.4693, 0.5307, 0.3107)
P (0.5307, 0.4693, 0.8107)
P (0.7475, 0.2525, 0.3341)
P (0.8776, 0.1224, 0.6719)

=====

(4)
# HoNiP2
Simulated XRD peak list, copper Kα. Input: DFT lattice parameters and positions (PBE).
Intensities are scaled so that the largest is 1000.

Most intense lines, 5° ≤ 2θ ≤ 70°, by intensity:
two_theta, I (rel.)
33.8, 1000
24.3, 878
39.0, 768
39.2, 754
48.7, 482
50.1, 325
38.4, 290
27.8, 274
9.4, 272
63.6, 247

Cell and atoms:
Cell: 9.7550 3.7391 9.7509 Å, 79.01 22.10 78.89°
Fractional coordinates of all 8 atoms:
Ho (0.1180, 0.8820, 0.1180)
Ho (0.8820, 0.1180, 0.8820)
Ni (0.2513, 0.2513, 0.2487)
Ni (0.7513, 0.7513, 0.7487)
P (0.0632, 0.4970, 0.9368)
P (0.3197, 0.6819, 0.3181)
P (0.4970, 0.0632, 0.5030)
P (0.6819, 0.3197, 0.6803)

=====

(5)
# Ho2Ni3P2
Simulated XRD peak list, copper Kα. Input: DFT lattice parameters and positions (PBE).
Intensities are scaled so that the largest is 1000.

Most intense lines, 5° ≤ 2θ ≤ 70°, by intensity:
two_theta, I (rel.)
36.7, 1000
44.1, 420
30.3, 400
32.7, 370
40.8, 301
40.3, 290
28.0, 261
49.8, 251
41.0, 241
38.2, 229

Cell and atoms:
Cell: 5.2796 5.2796 6.6353 Å, 115.31 115.31 40.62°
Fractional coordinates of all 7 atoms:
Ho (0.1317, 0.1317, 0.2679)
Ho (0.8683, 0.8683, 0.7321)
Ni (0.3618, 0.3618, 0.0717)
Ni (0.5000, 0.5000, 0.5000)
Ni (0.6382, 0.6382, 0.9283)
P (0.1514, 0.1514, 0.7192)
P (0.8486, 0.8486, 0.2808)

=====

(6)
# HoNiP2Ru
Simulated XRD peak list, copper Kα. Input: DFT lattice parameters and positions (PBE).
Intensities are scaled so that the largest is 1000.

Most intense lines, 5° ≤ 2θ ≤ 70°, by intensity:
two_theta, I (rel.)
37.5, 1000
35.9, 405
24.6, 382
46.7, 357
60.3, 179
36.8, 171
52.4, 158
60.8, 157
66.7, 155
68.1, 112

Cell and atoms:
Cell: 5.6087 5.6087 5.6087 Å, 139.39 139.39 58.79°
Fractional coordinates of all 5 atoms:
Ho (0.0000, 0.0000, 0.0000)
Ni (0.7500, 0.2500, 0.5000)
P (0.3830, 0.3830, 0.0000)
P (0.6170, 0.6170, 0.0000)
Ru (0.2500, 0.7500, 0.5000)

=====

(7)
# SrHoNi2P2
Simulated XRD peak list, copper Kα. Input: DFT lattice parameters and positions (PBE).
Intensities are scaled so that the largest is 1000.

Most intense lines, 5° ≤ 2θ ≤ 70°, by intensity:
two_theta, I (rel.)
34.2, 1000
46.3, 346
10.7, 220
65.6, 207
58.8, 204
26.2, 196
43.8, 119
28.4, 96
51.7, 81
42.2, 75

Cell and atoms:
Cell: 3.9226 3.9226 8.2745 Å, 90.00 90.00 120.00°
Fractional coordinates of all 6 atoms:
Sr (0.0000, 0.0000, 0.0000)
Ho (0.0000, 0.0000, 0.5000)
Ni (0.3333, 0.6667, 0.7269)
Ni (0.6667, 0.3333, 0.2731)
P (0.3333, 0.6667, 0.2715)
P (0.6667, 0.3333, 0.7285)

=====

(8)
# HoPaNi6
Simulated XRD peak list, copper Kα. Input: DFT lattice parameters and positions (PBE).
Intensities are scaled so that the largest is 1000.

Most intense lines, 5° ≤ 2θ ≤ 70°, by intensity:
two_theta, I (rel.)
43.4, 1000
41.5, 606
43.2, 389
26.8, 379
37.4, 330
32.2, 286
39.0, 277
27.6, 226
58.4, 176
59.6, 162

Cell and atoms:
Cell: 4.1850 5.4613 5.1021 Å, 90.00 90.00 90.00°
Fractional coordinates of all 8 atoms:
Ho (0.0000, 0.0000, 0.0000)
Pa (0.5000, 0.5000, 0.2824)
Ni (0.0000, 0.2378, 0.4975)
Ni (0.0000, 0.5000, 0.9030)
Ni (0.0000, 0.7622, 0.4975)
Ni (0.5000, 0.0000, 0.3890)
Ni (0.5000, 0.2766, 0.7800)
Ni (0.5000, 0.7234, 0.7800)

=====

(9)
# Ho2Pa2Ni15
Simulated XRD peak list, copper Kα. Input: DFT lattice parameters and positions (PBE).
Intensities are scaled so that the largest is 1000.

Most intense lines, 5° ≤ 2θ ≤ 70°, by intensity:
two_theta, I (rel.)
42.8, 1000
36.8, 996
30.5, 801
43.2, 771
37.3, 766
21.0, 644
42.7, 570
48.0, 485
53.4, 306
62.4, 302

Cell and atoms:
Cell: 6.4847 6.4847 6.4847 Å, 81.31 81.31 81.31°
Fractional coordinates of all 19 atoms:
Ho (0.1364, 0.1364, 0.1364)
Ho (0.8636, 0.8636, 0.8636)
Pa (0.3913, 0.3913, 0.3913)
Pa (0.6087, 0.6087, 0.6087)
Ni (0.0000, 0.5000, 0.5000)
Ni (0.1551, 0.1551, 0.6634)
Ni (0.1551, 0.6634, 0.1551)
Ni (0.1874, 0.5000, 0.8126)
Ni (0.1874, 0.8126, 0.5000)
Ni (0.3366, 0.8449, 0.8449)
Ni (0.5000, 0.0000, 0.5000)
Ni (0.5000, 0.1874, 0.8126)
Ni (0.5000, 0.5000, 0.0000)
Ni (0.5000, 0.8126, 0.1874)
Ni (0.6634, 0.1551, 0.1551)
Ni (0.8126, 0.1874, 0.5000)
Ni (0.8126, 0.5000, 0.1874)
Ni (0.8449, 0.3366, 0.8449)
Ni (0.8449, 0.8449, 0.3366)

=====

(10)
# Ho4NiPd
Simulated XRD peak list, copper Kα. Input: DFT lattice parameters and positions (PBE).
Intensities are scaled so that the largest is 1000.

Most intense lines, 5° ≤ 2θ ≤ 70°, by intensity:
two_theta, I (rel.)
32.7, 1000
38.9, 532
57.7, 319
52.9, 257
42.0, 236
65.2, 219
28.3, 201
34.0, 186
37.3, 164
26.2, 126

Cell and atoms:
Cell: 6.8103 6.8103 6.3054 Å, 90.00 90.00 90.00°
Fractional coordinates of all 12 atoms:
Ho (0.1738, 0.3128, 0.0000)
Ho (0.1738, 0.6872, 0.5000)
Ho (0.3128, 0.1738, 0.5000)
Ho (0.3128, 0.8262, 0.0000)
Ho (0.6872, 0.1738, 0.0000)
Ho (0.6872, 0.8262, 0.5000)
Ho (0.8262, 0.3128, 0.5000)
Ho (0.8262, 0.6872, 0.0000)
Ni (0.0000, 0.0000, 0.2500)
Ni (0.0000, 0.0000, 0.7500)
Pd (0.5000, 0.5000, 0.2500)
Pd (0.5000, 0.5000, 0.7500)

=====

(11)
# Ho12Ni6Pd
Simulated XRD peak list, copper Kα. Input: DFT lattice parameters and positions (PBE).
Intensities are scaled so that the largest is 1000.

Most intense lines, 5° ≤ 2θ ≤ 70°, by intensity:
two_theta, I (rel.)
35.1, 1000
29.5, 409
32.4, 385
56.1, 348
59.6, 341
69.5, 170
48.5, 168
37.6, 152
57.9, 128
40.0, 112

Cell and atoms:
Cell: 8.2810 8.2810 8.2810 Å, 109.47 109.47 109.47°
Fractional coordinates of all 19 atoms:
Ho (0.1151, 0.8147, 0.3004)
Ho (0.1853, 0.3004, 0.4857)
Ho (0.1853, 0.6996, 0.8849)
Ho (0.3004, 0.1151, 0.8147)
Ho (0.3004, 0.4857, 0.1853)
Ho (0.4857, 0.1853, 0.3004)
Ho (0.5143, 0.8147, 0.6996)
Ho (0.6996, 0.5143, 0.8147)
Ho (0.6996, 0.8849, 0.1853)
Ho (0.8147, 0.3004, 0.1151)
Ho (0.8147, 0.6996, 0.5143)
Ho (0.8849, 0.1853, 0.6996)
Ni (0.1261, 0.6261, 0.5000)
Ni (0.3739, 0.5000, 0.8739)
Ni (0.5000, 0.1261, 0.6261)
Ni (0.5000, 0.8739, 0.3739)
Ni (0.6261, 0.5000, 0.1261)
Ni (0.8739, 0.3739, 0.5000)
Pd (0.0000, 0.0000, 0.0000)

=====

(12)
# PmHo4Ni4
Simulated XRD peak list, copper Kα. Input: DFT lattice parameters and positions (PBE).
Intensities are scaled so that the largest is 1000.

Most intense lines, 5° ≤ 2θ ≤ 70°, by intensity:
two_theta, I (rel.)
33.0, 1000
28.2, 726
33.8, 485
47.3, 327
50.4, 231
45.4, 223
56.0, 222
40.0, 190
55.0, 185
46.7, 133

Cell and atoms:
Cell: 8.5943 8.5943 5.5678 Å, 90.00 90.00 90.00°
Fractional coordinates of all 18 atoms:
Pm (0.2500, 0.2500, 0.2500)
Pm (0.7500, 0.7500, 0.7500)
Ho (0.0716, 0.6604, 0.1523)
Ho (0.1604, 0.9284, 0.6523)
Ho (0.3396, 0.5716, 0.6523)
Ho (0.4284, 0.8396, 0.1523)
Ho (0.5716, 0.1604, 0.8477)
Ho (0.6604, 0.4284, 0.3477)
Ho (0.8396, 0.0716, 0.3477)
Ho (0.9284, 0.3396, 0.8477)
Ni (0.0307, 0.6134, 0.6400)
Ni (0.1134, 0.9693, 0.1400)
Ni (0.3866, 0.5307, 0.1400)
Ni (0.4693, 0.8866, 0.6400)
Ni (0.5307, 0.1134, 0.3600)
Ni (0.6134, 0.4693, 0.8600)
Ni (0.8866, 0.0307, 0.8600)
Ni (0.9693, 0.3866, 0.3600)

=====

(13)
# Pm2HoNi9
Simulated XRD peak list, copper Kα. Input: DFT lattice parameters and positions (PBE).
Intensities are scaled so that the largest is 1000.

Most intense lines, 5° ≤ 2θ ≤ 70°, by intensity:
two_theta, I (rel.)
42.4, 1000
36.0, 549
32.8, 510
35.7, 465
42.0, 418
69.2, 221
64.6, 164
62.7, 158
45.9, 154
68.7, 146

Cell and atoms:
Cell: 8.7266 8.7266 8.7266 Å, 33.18 33.18 33.18°
Fractional coordinates of all 12 atoms:
Pm (0.1380, 0.1380, 0.1380)
Pm (0.8620, 0.8620, 0.8620)
Ho (0.0000, 0.0000, 0.0000)
Ni (0.0806, 0.5799, 0.5799)
Ni (0.3329, 0.3329, 0.3329)
Ni (0.4201, 0.4201, 0.9194)
Ni (0.4201, 0.9194, 0.4201)
Ni (0.5000, 0.5000, 0.5000)
Ni (0.5799, 0.0806, 0.5799)
Ni (0.5799, 0.5799, 0.0806)
Ni (0.6671, 0.6671, 0.6671)
Ni (0.9194, 0.4201, 0.4201)